# Cu6AuN2
Theoretical powder diffraction line list, Cu Kα (λ = 1.5418 Å). Input: DFT lattice parameters and positions (GGA-PBE).

Atomic structure:
```
data_Cu6AuN2
_chemical_formula_sum 'Cu6 Au1 N2'
_cell_length_a 3.891
_cell_length_b 3.891
_cell_length_c 7.858
_cell_angle_alpha 90.00
_cell_angle_beta 90.00
_cell_angle_gamma 90.00
_space_group_name_H-M_alt 'P 4/m m m'
_space_group_IT_number 123
_space_group_name_Hall '-P 4 2'
loop_
_atom_site_label
_atom_site_fract_x
_atom_site_fract_y
_atom_site_fract_z
_atom_site_occupancy
Cu1 0.000 0.000 0.000 1
Cu2 0.000 0.000 0.500 1
Cu3 0.000 0.500 0.248 1
Au1 0.500 0.500 0.500 1
N1 0.000 0.000 0.239 1
```

Top 10 peaks for 2θ = 10–80°, by angle:
- 11.26 deg, I 53
- 25.55 deg, I 37
- 34.54 deg, I 17
- 40.00 deg, I 100
- 41.56 deg, I 10
- 46.21 deg, I 19
- 46.69 deg, I 37
- 53.97 deg, I 10
- 67.79 deg, I 23
- 68.16 deg, I 11